# Pr2MnOsO8
Calculated powder XRD pattern, Cu Kα. Input: a cell relaxed with PBE+U.

Most intense lines, 2θ from 10° to 80°, in order of rising 2θ:
two_theta  d_spacing  I_rel  index
22.41  3.967  25  0 1 -1
22.81  3.898  31  1 0 1
25.36  3.512  100  1 1 0
26.70  3.339  47  1 -1 0
32.10  2.788  40  0 1 2
32.24  2.777  37  0 1 -2
32.51  2.754  67  1 0 -2
48.82  1.865  25  1 2 2

Crystal structure
Unit cell a=4.7718 b=4.9234 c=6.7491 alpha=89.74 beta=89.83 gamma=87.09
Space group P-1 (No. 2)
Inequivalent atoms, fractional coordinates:
Pr 0.0858 0.4406 0.2587 x2
Mn 0.5000 0.0000 0.5000 x1
Os 0.5000 0.0000 0.0000 x1
O 0.2263 0.2586 0.9505 x2
O 0.2292 0.2706 0.5514 x2
O 0.2913 0.8791 0.2487 x2
O 0.3724 0.7857 0.7569 x2